This entry pairs a crystal structure of RbH2OF with its simulated X-ray powder pattern. Radiation: λ = 1.5418 Å (Cu Kα). Structure: the GGA-PBE geometry in the Materials Project.

Peak list (10 most intense, 2θ from 5° to 70°, in order of rising 2θ)
(hkl)	two_theta	I (rel.)
0 0 2	20.96	185
2 0 0	21.71	218
1 0 2	23.61	157
1 1 1	25.97	1000
2 0 2	30.36	495
0 1 3	38.34	186
1 1 3	39.95	264
3 1 1	40.79	431
0 2 0	42.85	155
2 2 2	53.41	165

Atomic structure:
```
data_RbH2OF
_space_group_name_H-M_alt 'P n m a'
_space_group_IT_number 62
_cell_length_a 8.187
_cell_length_b 4.221
_cell_length_c 8.475
_cell_angle_alpha 90.00
_cell_angle_beta 90.00
_cell_angle_gamma 90.00
loop_
_space_group_symop_operation_xyz
'x,y,z'
'-x,-y,-z'
'-x+1/2,-y,z+1/2'
'x+1/2,y,-z+1/2'
'x+1/2,-y+1/2,-z+1/2'
'-x+1/2,y+1/2,z+1/2'
'-x,y+1/2,-z'
'x,-y+1/2,z'
loop_
_atom_site_label
_atom_site_fract_x
_atom_site_fract_y
_atom_site_fract_z
Rb1 0.240 0.250 0.042
H1 0.032 0.061 0.760
O1 0.005 0.750 0.302
F1 0.098 0.750 0.853
```

***

This entry pairs a crystal structure of SbH2SO3F7 with its simulated X-ray powder pattern. Radiation: λ = 1.5418 Å (Cu Kα). Structure: the GGA-PBE geometry in the Materials Project.

Peak list (10 most intense, 2θ from 5° to 70°, in order of rising 2θ)
(hkl)	two_theta	I (rel.)
0 2 0	12.90	370
1 0 0	15.98	189
1 0 -2	16.63	202
1 2 0	20.59	1000
0 0 2	20.74	421
1 2 -2	21.11	739
0 2 2	24.50	201
2 0 -2	25.35	309
0 4 0	25.96	189
0 4 2	33.46	159

Atomic structure:
```
data_SbH2SO3F7
_space_group_name_H-M_alt 'P 1 21/c 1'
_space_group_IT_number 14
_cell_length_a 7.033
_cell_length_b 13.730
_cell_length_c 10.863
_cell_angle_alpha 90.00
_cell_angle_beta 127.96
_cell_angle_gamma 90.00
loop_
_space_group_symop_operation_xyz
'x,y,z'
'-x,-y,-z'
'-x,y+1/2,-z+1/2'
'x,-y+1/2,z+1/2'
loop_
_atom_site_label
_atom_site_fract_x
_atom_site_fract_y
_atom_site_fract_z
Sb1 0.012 0.018 0.267
H1 0.230 0.660 0.022
H2 0.444 0.081 0.768
S1 0.494 0.234 0.816
O1 0.284 0.706 0.116
O2 0.385 0.233 0.890
O3 0.442 0.637 0.715
F1 0.114 0.050 0.919
F2 0.117 0.639 0.342
F3 0.122 0.079 0.458
F4 0.126 0.607 0.880
F5 0.294 0.008 0.768
F6 0.316 0.037 0.310
F7 0.318 0.222 0.149
```

***

This entry pairs a crystal structure of Sn2H2SO5F2 with its simulated X-ray powder pattern. Radiation: λ = 1.5418 Å (Cu Kα). Structure: the GGA-PBE geometry in the Materials Project.

Peak list (10 most intense, 2θ from 5° to 70°, in order of rising 2θ)
(hkl)	two_theta	I (rel.)
1 1 0	14.19	1000
0 3 1	23.81	421
2 0 0	25.04	857
1 3 -1	26.85	636
1 3 1	27.05	543
1 0 -2	27.20	386
1 0 2	27.59	409
0 4 1	30.01	596
0 3 3	42.47	502
1 7 0	50.65	287

Atomic structure:
```
data_Sn2H2SO5F2
_space_group_name_H-M_alt 'P 1 21/c 1'
_space_group_IT_number 14
_cell_length_a 7.113
_cell_length_b 13.037
_cell_length_c 7.325
_cell_angle_alpha 90.00
_cell_angle_beta 90.97
_cell_angle_gamma 90.00
loop_
_space_group_symop_operation_xyz
'x,y,z'
'-x,-y,-z'
'-x,y+1/2,-z+1/2'
'x,-y+1/2,z+1/2'
loop_
_atom_site_label
_atom_site_fract_x
_atom_site_fract_y
_atom_site_fract_z
Sn1 0.179 0.181 0.154
Sn2 0.261 0.020 0.670
H1 0.438 0.681 0.450
H2 0.445 0.737 0.254
S1 0.258 0.581 0.725
O1 0.086 0.584 0.836
O2 0.248 0.004 0.088
O3 0.289 0.680 0.627
O4 0.421 0.563 0.857
O5 0.492 0.184 0.168
F1 0.238 0.138 0.463
F2 0.264 0.163 0.841
```